(1)
For GaCu2Pt2, a cell relaxed with GGA-PBE gives the simulated PXRD pattern in this record (Cu Kα (weighted mean of Kα1 and Kα2)).
Lines closer than 0.1° are merged.

Top 10 peaks for 10° ≤ 2θ ≤ 80°, sorted by position:
d (Å)	Position (°2θ)	Rel. int.
6.268	14.1	35
4.044	22.0	21
2.987	29.9	18
2.564	35.0	24
2.307	39.0	19
2.162	41.8	32
2.136	42.3	32
2.089	43.3	19
2.047	44.3	100
1.215	78.7	18

Crystal structure
Lattice parameters (Å, degrees): 7.1933 7.1933 7.1933 145.45 134.02 58.77
Atoms (fractional coordinates):
Ga  0.3841  0.1341  0.2500
Ga  0.6159  0.8659  0.7500
Cu  0.1230  0.8730  0.2500
Cu  0.2492  0.4992  0.7500
Cu  0.7508  0.5008  0.2500
Cu  0.8770  0.1270  0.7500
Pt  0.1721  0.6741  0.4980
Pt  0.3239  0.3259  0.9980
Pt  0.6761  0.6741  0.0020
Pt  0.8279  0.3259  0.5020



(2)
For Ga8Cu3Pt2, a cell relaxed with GGA-PBE gives the simulated PXRD pattern in this record (Cu Kα (weighted mean of Kα1 and Kα2)).
Lines closer than 0.1° are merged.

Top 10 peaks for 10° ≤ 2θ ≤ 80°, sorted by position:
d (Å)	Position (°2θ)	Rel. int.
4.166	21.3	30
4.067	21.9	25
3.501	25.4	28
3.473	25.6	29
3.429	26.0	69
2.156	41.9	100
2.143	42.2	100
2.084	43.4	66
2.033	44.6	55
1.455	64.0	33

Crystal structure
Lattice parameters (Å, degrees): 7.5847 4.0670 7.6451 90.00 113.66 90.00
Atoms (fractional coordinates):
Ga  0.1022  0.0000  0.3991
Ga  0.1348  0.5000  0.8963
Ga  0.3509  0.0000  0.1481
Ga  0.3932  0.5000  0.6347
Ga  0.6068  0.5000  0.3653
Ga  0.6491  0.0000  0.8519
Ga  0.8652  0.5000  0.1037
Ga  0.8978  0.0000  0.6009
Cu  0.2846  0.0000  0.7856
Cu  0.5000  0.5000  0.0000
Cu  0.7154  0.0000  0.2144
Pt  0.2245  0.5000  0.2767
Pt  0.7755  0.5000  0.7233



(3)
For Sr2GaCu2Pt5, a cell relaxed with GGA-PBE gives the simulated PXRD pattern in this record (Cu Kα (weighted mean of Kα1 and Kα2)).
Lines closer than 0.1° are merged.

Top 10 peaks for 10° ≤ 2θ ≤ 80°, sorted by position:
d (Å)	Position (°2θ)	Rel. int.
3.888	22.9	35
2.885	31.0	17
2.561	35.0	27
2.397	37.5	100
2.335	38.6	51
2.269	39.7	19
2.201	41.0	48
2.046	44.3	18
1.944	46.7	31
1.494	62.1	25

Crystal structure
Lattice parameters (Å, degrees): 9.6258 9.6258 3.8875 90.00 90.00 90.00
Atoms (fractional coordinates):
Sr  0.1780  0.3220  0.0000
Sr  0.3220  0.8220  0.0000
Sr  0.6780  0.1780  0.0000
Sr  0.8220  0.6780  0.0000
Ga  0.0000  0.0000  0.0000
Ga  0.5000  0.5000  0.0000
Cu  0.1214  0.6214  0.0000
Cu  0.3786  0.1214  0.0000
Cu  0.6214  0.8786  0.0000
Cu  0.8786  0.3786  0.0000
Pt  0.0000  0.5000  0.5000
Pt  0.0599  0.7957  0.5000
Pt  0.2043  0.0599  0.5000
Pt  0.2957  0.5599  0.5000
Pt  0.4401  0.2957  0.5000
Pt  0.5000  0.0000  0.5000
Pt  0.5599  0.7043  0.5000
Pt  0.7043  0.4401  0.5000
Pt  0.7957  0.9401  0.5000
Pt  0.9401  0.2043  0.5000



(4)
For TbGaCuPt2, a cell relaxed with GGA-PBE gives the simulated PXRD pattern in this record (Cu Kα (weighted mean of Kα1 and Kα2)).
Lines closer than 0.1° are merged.

Top 10 peaks for 10° ≤ 2θ ≤ 80°, sorted by position:
d (Å)	Position (°2θ)	Rel. int.
3.640	24.5	29
2.822	31.7	84
2.688	33.3	54
2.473	36.3	80
2.104	43.0	100
2.047	44.2	35
1.901	47.9	59
1.576	58.6	30
1.411	66.3	58
1.214	78.8	24

Crystal structure
Lattice parameters (Å, degrees): 6.8641 6.8641 6.8641 147.85 147.85 46.11
Atoms (fractional coordinates):
Tb  0.0000  0.0000  0.0000
Ga  0.7500  0.2500  0.5000
Cu  0.2500  0.7500  0.5000
Pt  0.3922  0.3922  0.0000
Pt  0.6078  0.6078  0.0000



(5)
For Pu2Ga4Cu3, a cell relaxed with GGA-PBE gives the simulated PXRD pattern in this record (Cu Kα (weighted mean of Kα1 and Kα2)).
Lines closer than 0.1° are merged.

Top 10 peaks for 10° ≤ 2θ ≤ 80°, sorted by position:
d (Å)	Position (°2θ)	Rel. int.
4.264	20.8	32
3.062	29.2	34
2.658	33.7	76
2.503	35.9	100
2.438	36.9	56
2.408	37.3	45
2.220	40.6	61
1.779	51.4	24
1.564	59.1	26
1.329	70.9	27

Crystal structure
Lattice parameters (Å, degrees): 8.0503 8.0503 7.6188 90.00 90.00 140.27
Atoms (fractional coordinates):
Pu  0.0991  0.9009  0.8903
Pu  0.4009  0.5991  0.3903
Pu  0.5991  0.4009  0.6097
Pu  0.9009  0.0991  0.1097
Ga  0.1801  0.3199  0.7500
Ga  0.1823  0.8177  0.5115
Ga  0.3177  0.6823  0.0115
Ga  0.3199  0.1801  0.2500
Ga  0.6801  0.8199  0.7500
Ga  0.6823  0.3177  0.9885
Ga  0.8177  0.1823  0.4885
Ga  0.8199  0.6801  0.2500
Cu  0.0000  0.0000  0.5000
Cu  0.0156  0.4844  0.7500
Cu  0.4844  0.0156  0.2500
Cu  0.5000  0.5000  0.0000
Cu  0.5156  0.9844  0.7500
Cu  0.9844  0.5156  0.2500



(6)
For PuGa9Cu2, a cell relaxed with GGA-PBE gives the simulated PXRD pattern in this record (Cu Kα (weighted mean of Kα1 and Kα2)).
Lines closer than 0.1° are merged.

Top 10 peaks for 10° ≤ 2θ ≤ 80°, sorted by position:
d (Å)	Position (°2θ)	Rel. int.
4.027	22.1	22
3.288	27.1	15
2.847	31.4	40
2.546	35.2	62
2.429	37.0	100
2.153	42.0	45
2.013	45.0	38
1.801	50.7	18
1.446	64.4	23
1.273	74.5	14

Crystal structure
Lattice parameters (Å, degrees): 8.6983 8.6983 8.6983 98.23 98.23 135.54
Atoms (fractional coordinates):
Pu  0.3750  0.6250  0.7500
Pu  0.6250  0.3750  0.2500
Ga  0.1102  0.5511  0.3167
Ga  0.1102  0.7935  0.5591
Ga  0.1250  0.8750  0.2500
Ga  0.2065  0.2656  0.3167
Ga  0.2065  0.8898  0.9409
Ga  0.2656  0.2065  0.8167
Ga  0.2656  0.4489  0.0591
Ga  0.4489  0.2656  0.5591
Ga  0.4489  0.8898  0.1833
Ga  0.5511  0.1102  0.8167
Ga  0.5511  0.7344  0.4409
Ga  0.7344  0.5511  0.9409
Ga  0.7344  0.7935  0.1833
Ga  0.7935  0.1102  0.0591
Ga  0.7935  0.7344  0.6833
Ga  0.8750  0.1250  0.7500
Ga  0.8898  0.2065  0.4409
Ga  0.8898  0.4489  0.6833
Cu  0.0000  0.0000  0.0000
Cu  0.0000  0.0000  0.5000
Cu  0.0000  0.5000  0.0000
Cu  0.5000  0.0000  0.5000